For ScPaNi, DFT lattice parameters and positions (PBE) gives the theoretical X-ray powder pattern in this record (Cu Kα (λ = 1.5418 Å)).
Intensities are scaled so that the largest is 100.

Lattice parameters (Å, degrees): 5.5155 9.1127 9.4707 90.00 90.00 90.00
Space group Fmmm (No. 69)
Inequivalent atoms, fractional coordinates:
Sc (0.0000, 0.1680, 0.0000) [8 per cell]
Pa (0.0000, 0.0000, 0.3367) [8 per cell]
Ni (0.2500, 0.2500, 0.2500) [8 per cell]

Peak list (10 most intense, 2θ from 5° to 70°, in order of rising 2θ)
(0 0 2), 18.74 deg, I 27; (0 2 0), 19.48 deg, I 29; (1 1 1), 21.03 deg, I 47; (1 1 3), 34.17 deg, I 100; (1 3 1), 35.03 deg, I 40; (2 2 0), 38.14 deg, I 44; (2 2 2), 42.82 deg, I 32; (1 3 3), 44.53 deg, I 26; (3 1 3), 59.02 deg, I 21; (1 5 3), 61.06 deg, I 23

---

For Tb12TlPd6, DFT lattice parameters and positions (PBE) gives the theoretical X-ray powder pattern in this record (Cu Kα (λ = 1.5418 Å)).
Intensities are scaled so that the largest is 100.

Lattice parameters (Å, degrees): 10.0100 10.0100 10.0100 90.00 90.00 90.00
Space group Im-3 (No. 204)
Inequivalent atoms, fractional coordinates:
Tb (0.0000, 0.2974, 0.1839) [24 per cell]
Tl (0.0000, 0.0000, 0.0000) [2 per cell]
Pd (0.0000, 0.1362, 0.5000) [12 per cell]

Peak list (10 most intense, 2θ from 5° to 70°, in order of rising 2θ)
(3 0 1), 28.19 deg, I 15; (2 2 2), 30.95 deg, I 26; (3 1 2), 33.50 deg, I 100; (4 0 0), 35.88 deg, I 15; (3 3 0), 38.14 deg, I 12; (5 0 1), 46.25 deg, I 19; (5 3 0), 53.37 deg, I 20; (6 0 0), 55.04 deg, I 13; (5 2 3), 56.69 deg, I 30; (5 3 4), 65.99 deg, I 16